The following is a computed powder X-ray diffraction pattern of KNaAu2I8. It was derived from a cell relaxed with GGA-PBE, using Cu Kα X-rays.

Most intense lines, 10° ≤ 2θ ≤ 90°, by angle:
12.1°, rel. 100.0
21.0°, rel. 24.0
21.3°, rel. 71.5
24.4°, rel. 41.6
24.7°, rel. 68.5
32.4°, rel. 40.4
35.9°, rel. 98.9
37.0°, rel. 20.0
51.1°, rel. 27.3
54.9°, rel. 19.1

Structure:
a b c (Å): 9.360 9.360 9.360
angles (deg): 126.35 126.35 79.31
Element x y z (fractional)
K: 0.000 0.000 0.000
Na: 0.250 0.750 0.500
Au: 0.500 0.500 0.000
Au: 0.750 0.250 0.500
I: 0.046 0.300 0.876
I: 0.209 0.467 0.631
I: 0.422 0.791 0.258
I: 0.424 0.170 0.124
I: 0.533 0.164 0.742
I: 0.700 0.576 0.746
I: 0.830 0.954 0.254
I: 0.836 0.578 0.369


The following is a computed powder X-ray diffraction pattern of K7AuI2O2. It was derived from a cell relaxed with GGA-PBE, using Cu Kα X-rays.

Most intense lines, 10° ≤ 2θ ≤ 90°, by angle:
12.5°, rel. 58.8
21.1°, rel. 75.2
21.4°, rel. 75.4
23.3°, rel. 100.0
24.1°, rel. 33.4
30.9°, rel. 59.1
32.5°, rel. 97.9
35.1°, rel. 34.2
36.0°, rel. 33.7
39.6°, rel. 34.9

Structure:
a b c (Å): 13.527 13.527 13.527
angles (deg): 159.78 37.84 148.35
Element x y z (fractional)
K: 0.000 0.000 0.000
K: 0.038 0.839 0.199
K: 0.155 0.545 0.610
K: 0.478 0.558 0.920
K: 0.638 0.558 0.080
K: 0.640 0.839 0.801
K: 0.934 0.545 0.390
Au: 0.350 0.850 0.500
I: 0.139 0.339 0.800
I: 0.539 0.339 0.200
O: 0.786 0.885 0.902
O: 0.983 0.885 0.098


The following is a computed powder X-ray diffraction pattern of K8Au2IO. It was derived from a cell relaxed with GGA-PBE, using Cu Kα X-rays.

Most intense lines, 10° ≤ 2θ ≤ 90°, by angle:
11.2°, rel. 26.7
14.9°, rel. 38.0
15.2°, rel. 40.0
15.5°, rel. 100.0
16.7°, rel. 88.2
26.6°, rel. 34.7
27.0°, rel. 32.5
29.7°, rel. 27.6
31.3°, rel. 30.5
33.7°, rel. 64.4

Structure:
a b c (Å): 7.701 7.903 9.012
angles (deg): 90.03 90.06 94.18
Element x y z (fractional)
K: 0.198 0.349 0.000
K: 0.289 0.835 0.306
K: 0.289 0.835 0.694
K: 0.293 0.260 0.500
K: 0.707 0.740 0.500
K: 0.711 0.165 0.306
K: 0.711 0.165 0.694
K: 0.802 0.651 0.000
Au: 0.000 0.500 0.338
Au: 0.000 0.500 0.662
I: 0.500 0.000 0.000
O: 0.500 0.000 0.500


The following is a computed powder X-ray diffraction pattern of KScAuI6. It was derived from a cell relaxed with GGA-PBE, using Cu Kα X-rays.

Most intense lines, 10° ≤ 2θ ≤ 90°, by angle:
11.7°, rel. 68.0
12.9°, rel. 43.0
18.4°, rel. 30.1
23.0°, rel. 71.8
25.4°, rel. 41.2
26.0°, rel. 38.5
26.2°, rel. 34.5
27.6°, rel. 100.0
35.0°, rel. 66.5
39.4°, rel. 29.4

Structure:
a b c (Å): 7.446 7.450 7.673
angles (deg): 94.59 94.69 111.78
Element x y z (fractional)
K: 0.000 0.000 0.000
Sc: 0.346 0.654 0.501
Au: 0.699 0.301 0.501
I: 0.051 0.625 0.241
I: 0.059 0.350 0.676
I: 0.377 0.949 0.762
I: 0.426 0.363 0.266
I: 0.638 0.573 0.736
I: 0.650 0.941 0.326